Calculated PXRD pattern of Na2PrPu3Se6 for copper Kα, from a cell relaxed with GGA-PBE.

abc: 7.2999 12.6363 7.3270
angles: 90.00 109.35 90.00
Space group C2/m (No. 12)
Inequivalent atoms, fractional coordinates:
Na  0.0000  0.1662  0.0000 x4
Pr  0.0000  0.5000  0.0000 x2
Pu  0.0000  0.0000  0.5000 x2
Pu  0.0000  0.3320  0.5000 x4
Se  0.2434  0.5000  0.7399 x4
Se  0.2481  0.1652  0.7401 x8

Top 12 peaks for 2θ from 5° to 70°, in order of falling intensity:
2θ = 29.94°, d = 2.984 Å, rel. 100, (1 3 1); 2θ = 42.79°, d = 2.113 Å, rel. 38, (2 0 2); 2θ = 42.93°, d = 2.107 Å, rel. 38, (0 6 0); 2θ = 12.81°, d = 6.913 Å, rel. 36, (0 0 1); 2θ = 24.77°, d = 3.594 Å, rel. 21, (2 0 -1); 2θ = 53.22°, d = 1.721 Å, rel. 20, (4 0 0); 2θ = 25.89°, d = 3.442 Å, rel. 13, (2 0 0); 2θ = 62.22°, d = 1.492 Å, rel. 12, (2 6 2); 2θ = 44.98°, d = 2.015 Å, rel. 11, (3 3 0); 2θ = 39.15°, d = 2.301 Å, rel. 10, (1 3 2); 2θ = 32.69°, d = 2.740 Å, rel. 9, (1 3 -2); 2θ = 52.98°, d = 1.728 Å, rel. 7, (0 0 4)



Calculated PXRD pattern of Dy2Si4Tc3 for copper Kα, from a cell relaxed with GGA-PBE.

abc: 6.7761 6.7873 6.7837
angles: 90.00 110.18 90.00
Space group P2_1/c (No. 14)
Inequivalent atoms, fractional coordinates:
Dy  0.1912  0.1675  0.0576 x4
Si  0.1030  0.5518  0.8779 x4
Si  0.4869  0.6415  0.6315 x4
Tc  0.2402  0.6499  0.2575 x4
Tc  0.5000  0.0000  0.5000 x2

Top 12 peaks for 2θ from 5° to 70°, in order of falling intensity:
2θ = 37.77°, d = 2.382 Å, rel. 100, (2 2 -1); 2θ = 38.10°, d = 2.362 Å, rel. 88, (1 1 2); 2θ = 29.80°, d = 2.998 Å, rel. 78, (1 1 -2); 2θ = 42.40°, d = 2.132 Å, rel. 49, (0 3 1); 2θ = 42.13°, d = 2.145 Å, rel. 48, (1 1 -3); 2θ = 34.88°, d = 2.573 Å, rel. 46, (2 1 -2); 2θ = 35.13°, d = 2.554 Å, rel. 36, (1 2 1); 2θ = 65.58°, d = 1.424 Å, rel. 30, (3 3 1); 2θ = 28.05°, d = 3.181 Å, rel. 29, (2 0 0); 2θ = 31.04°, d = 2.881 Å, rel. 28, (0 1 2); 2θ = 42.65°, d = 2.120 Å, rel. 27, (3 0 0); 2θ = 38.81°, d = 2.320 Å, rel. 23, (2 2 0)



Calculated PXRD pattern of La2Cu5Pd12 for copper Kα, from a cell relaxed with GGA-PBE.

abc: 9.0526 9.0526 13.4366
angles: 90.00 90.00 120.00
Space group R-3m (No. 166, hexagonal axes)
Inequivalent atoms, fractional coordinates:
La  0.0000  0.0000  0.1601 x6
Cu  0.0000  0.0000  0.4073 x6
Cu  0.0000  0.5000  0.0000 x9
Pd  0.0000  0.2954  0.5000 x18
Pd  0.0130  0.5065  0.3486 x18

Top 12 peaks for 2θ from 5° to 70°, in order of falling intensity:
2θ = 39.94°, d = 2.257 Å, rel. 100, (3 0 3); 2θ = 44.87°, d = 2.020 Å, rel. 44, (2 2 3); 2θ = 39.83°, d = 2.263 Å, rel. 42, (2 2 0); 2θ = 40.27°, d = 2.239 Å, rel. 34, (0 0 6); 2θ = 35.18°, d = 2.551 Å, rel. 32, (0 2 4); 2θ = 34.32°, d = 2.613 Å, rel. 30, (3 0 0); 2θ = 65.25°, d = 1.430 Å, rel. 15, (3 3 3); 2θ = 40.71°, d = 2.216 Å, rel. 12, (2 0 5); 2θ = 28.03°, d = 3.184 Å, rel. 11, (1 1 3); 2θ = 45.17°, d = 2.007 Å, rel. 11, (1 1 6); 2θ = 57.93°, d = 1.592 Å, rel. 10, (2 2 6); 2θ = 19.61°, d = 4.526 Å, rel. 9, (1 1 0)



Calculated PXRD pattern of Fe2ICl6 for copper Kα, from a cell relaxed with GGA-PBE.

abc: 18.5462 12.8926 5.9606
angles: 90.00 108.50 90.00
Space group C2/c (No. 15)
Inequivalent atoms, fractional coordinates:
Fe  0.1641  0.0929  0.0723 x8
I  0.0000  0.4834  0.7500 x4
Cl  0.0913  0.2138  0.1221 x8
Cl  0.1287  0.0714  0.6650 x8
Cl  0.2165  0.3835  0.7639 x8

Top 12 peaks for 2θ from 5° to 70°, in order of falling intensity:
2θ = 16.61°, d = 5.337 Å, rel. 100, (3 1 0); 2θ = 13.74°, d = 6.446 Å, rel. 31, (0 2 0); 2θ = 20.92°, d = 4.247 Å, rel. 31, (2 2 -1); 2θ = 31.20°, d = 2.866 Å, rel. 30, (1 1 -2); 2θ = 29.52°, d = 3.026 Å, rel. 23, (2 4 0); 2θ = 26.25°, d = 3.394 Å, rel. 21, (5 1 0); 2θ = 21.28°, d = 4.175 Å, rel. 21, (1 3 0); 2θ = 34.72°, d = 2.584 Å, rel. 17, (4 2 -2); 2θ = 35.19°, d = 2.551 Å, rel. 16, (4 4 -1); 2θ = 33.58°, d = 2.668 Å, rel. 16, (6 2 0); 2θ = 25.55°, d = 3.486 Å, rel. 13, (1 3 -1); 2θ = 25.43°, d = 3.502 Å, rel. 12, (4 2 -1)